Entry 1:
Starting from a crystal structure in Alexandria, relaxed with GGA-PBE, the powder X-ray diffraction pattern of ErMnNb was calculated for Cu Kα (weighted mean of Kα1 and Kα2).
No peak broadening, texture or thermal motion is included.

Principal peaks in the range 2θ from 10° to 90°, in order of falling intensity:
| Position (°2θ) | d_spacing | I_rel | index |
| --- | --- | --- | --- |
| 42.8 | 2.113 | 100.0 | 2 2 2 |
| 37.2 | 2.417 | 96.9 | 1 3 1 |
| 33.4 | 2.680 | 85.7 | 1 1 3 |
| 36.7 | 2.451 | 55.5 | 0 0 4 |
| 60.0 | 1.542 | 54.7 | 1 3 5 |
| 31.6 | 2.832 | 37.8 | 2 0 0 |

Atomic structure:
```
data_ErMnNb
_chemical_formula_sum 'Er8 Mn8 Nb8'
_cell_length_a 5.6645
_cell_length_b 8.3355
_cell_length_c 9.8016
_cell_angle_alpha 90.00
_cell_angle_beta 90.00
_cell_angle_gamma 90.00
_space_group_name_H-M_alt 'F m m m'
_space_group_IT_number 69
_space_group_name_Hall '-F 2 2'
loop_
_atom_site_label
_atom_site_type_symbol
_atom_site_fract_x
_atom_site_fract_y
_atom_site_fract_z
Er1 Er 0.0000 0.1786 0.0000
Mn1 Mn 0.2500 0.2500 0.2500
Nb1 Nb 0.0000 0.0000 0.3240
```



Entry 2:
Starting from a crystal structure in Alexandria, relaxed with GGA-PBE, the powder X-ray diffraction pattern of ErMn2Ni9 was calculated for Cu Kα (weighted mean of Kα1 and Kα2).
No peak broadening, texture or thermal motion is included.

Principal peaks in the range 2θ from 10° to 90°, in order of falling intensity:
| Position (°2θ) | d_spacing | I_rel | index |
| --- | --- | --- | --- |
| 44.4 | 2.039 | 100.0 | 1 1 6 |
| 43.8 | 2.066 | 26.9 | 0 2 1 |
| 37.6 | 2.395 | 25.7 | 1 1 0 |
| 72.6 | 1.303 | 24.4 | 0 3 6 |
| 34.6 | 2.595 | 22.1 | 0 0 9 |
| 46.8 | 1.942 | 20.6 | 0 0 12 |

Atomic structure:
```
data_ErMn2Ni9
_chemical_formula_sum 'Er3 Mn6 Ni27'
_cell_length_a 4.7904
_cell_length_b 4.7904
_cell_length_c 23.3035
_cell_angle_alpha 90.00
_cell_angle_beta 90.00
_cell_angle_gamma 120.00
_space_group_name_H-M_alt 'R -3 m'
_space_group_IT_number 166
_space_group_name_Hall '-R 3 2"'
loop_
_atom_site_label
_atom_site_type_symbol
_atom_site_fract_x
_atom_site_fract_y
_atom_site_fract_z
Er1 Er 0.0000 0.0000 0.0000
Mn1 Mn 0.0000 0.0000 0.1448
Ni1 Ni 0.0000 0.0000 0.3340
Ni2 Ni 0.0000 0.0000 0.5000
Ni3 Ni 0.0048 0.5024 0.9140
```



Entry 3:
Starting from a crystal structure in Alexandria, relaxed with GGA-PBE, the powder X-ray diffraction pattern of ErMnNi2 was calculated for Cu Kα (weighted mean of Kα1 and Kα2).
No peak broadening, texture or thermal motion is included.

Principal peaks in the range 2θ from 10° to 90°, in order of falling intensity:
| Position (°2θ) | d_spacing | I_rel | index |
| --- | --- | --- | --- |
| 40.6 | 2.224 | 100.0 | 2 2 0 |
| 73.8 | 1.284 | 31.9 | 4 2 2 |
| 24.5 | 3.632 | 23.5 | 1 1 1 |
| 58.7 | 1.573 | 16.2 | 4 0 0 |
| 48.0 | 1.897 | 12.5 | 3 1 1 |
| 87.8 | 1.112 | 10.2 | 4 4 0 |

Atomic structure:
```
data_ErMnNi2
_chemical_formula_sum 'Er4 Mn4 Ni8'
_cell_length_a 6.2912
_cell_length_b 6.2912
_cell_length_c 6.2912
_cell_angle_alpha 90.00
_cell_angle_beta 90.00
_cell_angle_gamma 90.00
_space_group_name_H-M_alt 'F m -3 m'
_space_group_IT_number 225
_space_group_name_Hall '-F 4 2 3'
loop_
_atom_site_label
_atom_site_type_symbol
_atom_site_fract_x
_atom_site_fract_y
_atom_site_fract_z
Er1 Er 0.0000 0.0000 0.0000
Mn1 Mn 0.0000 0.0000 0.5000
Ni1 Ni 0.2500 0.2500 0.2500
```